The following is a calculated PXRD pattern of YbEuFe4O8. It was derived from a DFT-relaxed cell (PBE+U, Alexandria), using CuKα.

Crystal structure
```
YbEuFe4O8
1.0
6.112 0.000 0.000
0.000 3.540 0.000
-1.992 0.000 8.543
Yb Eu Fe O
1 1 4 8
Cartesian
0.000 0.000 0.000 Yb
3.056 1.770 0.000 Eu
-0.016 0.000 5.462 Fe
1.060 1.770 3.043 Fe
3.060 1.770 5.501 Fe
4.136 0.000 3.081 Fe
-0.014 0.000 3.356 O
0.987 1.770 1.118 O
-0.001 0.000 7.349 O
0.989 1.770 5.192 O
3.131 1.770 3.351 O
4.121 0.000 1.194 O
3.133 1.770 7.425 O
4.134 0.000 5.187 O
```

Largest 6 diffraction maxima, most intense first, 2θ = 15–90°:
h k l	2θ (°)	d_spacing	Rel. int.
2 0 1	34.11	2.628	100
1 1 0	29.35	3.043	89
1 1 1	32.36	2.767	76
0 0 3	31.41	2.848	56
3 1 -1	51.77	1.766	47
0 0 2	20.79	4.272	47